# K3NiO2
Theoretical powder diffractogram, Cu Kα X-rays. Input: a PBE+U-relaxed structure.

The 10 most intense peaks (2θ from 10° to 80°), in order of rising 2θ:
2θ/deg, Rel. int.
19.3, 135
24.2, 53
29.3, 431
32.9, 1000
41.9, 268
52.0, 79
54.3, 296
60.8, 154
68.9, 141
70.9, 65

Cell and atoms:
```
K3NiO2
1.0
6.0939 0.0000 0.0000
0.0000 6.0950 0.0000
-0.0207 0.0000 14.0774
K Ni O
12 4 8
Cartesian
1.2061 0.0000 5.2797
1.3815 3.2351 3.5132
1.3807 3.4913 14.0752
1.6428 3.2253 7.0377
1.6407 3.4797 10.5570
1.8130 0.6204 12.3153
4.2603 3.6679 1.7621
4.4326 0.4323 3.5204
4.4304 0.1779 7.0398
4.6926 0.4439 0.0023
4.6917 0.1877 10.5642
4.8671 3.0475 8.7977
1.4950 0.3379 1.7612
1.5379 0.2822 8.7972
4.5353 3.3297 5.2802
4.5782 3.3854 12.3163
0.2156 5.1782 1.9040
0.2835 5.1007 8.6507
2.7492 1.6147 1.6162
2.8135 1.5369 8.9439
3.2598 4.5844 5.1335
3.3241 4.6621 12.4612
5.7897 2.0532 5.4267
5.8576 2.1307 12.1734
```